Entry 1:
# Sr3Ta4TiO15
Simulated XRD peak list, Cu Kα X-rays. Input: a cell relaxed with PBE.
Intensities are scaled so that the largest is 100.

Most intense lines, 10° ≤ 2θ ≤ 90°, low angle first:
two_theta	I (rel.)
22.4	53
25.6	33
27.5	34
29.3	38
31.9	100
34.2	24
45.7	28
51.4	19
56.7	34
56.8	16

Atomic structure:
a = 3.971 Å, b = 12.582 Å, c = 12.549 Å
α = 90.00°, β = 90.01°, γ = 90.00°
Element x y z (fractional)
Sr1 0.000 0.099 0.000
Sr2 0.000 0.901 0.500
Sr3 0.001 0.370 0.403
Sr4 0.001 0.630 0.903
Sr5 0.999 0.247 0.687
Sr6 0.999 0.753 0.187
Ta1 0.490 0.037 0.768
Ta2 0.490 0.963 0.268
Ta3 0.492 0.461 0.616
Ta4 0.492 0.539 0.116
Ta5 0.496 0.330 0.902
Ta6 0.496 0.670 0.402
Ta7 0.505 0.252 0.196
Ta8 0.505 0.748 0.696
Ti1 0.527 0.163 0.483
Ti2 0.527 0.837 0.983
O1 0.481 0.408 0.200
O2 0.481 0.592 0.700
O3 0.482 0.247 0.035
O4 0.482 0.319 0.544
O5 0.482 0.681 0.044
O6 0.482 0.753 0.535
O7 0.483 0.091 0.182
O8 0.483 0.182 0.838
O9 0.483 0.818 0.338
O10 0.483 0.909 0.682
O11 0.485 0.247 0.351
O12 0.485 0.753 0.851
O13 0.487 0.378 0.750
O14 0.487 0.622 0.250
O15 0.488 0.120 0.634
O16 0.488 0.473 0.966
O17 0.488 0.527 0.466
O18 0.488 0.880 0.134
O19 0.491 0.022 0.421
O20 0.491 0.978 0.921
O21 0.979 0.174 0.490
O22 0.979 0.826 0.990
O23 0.986 0.453 0.605
O24 0.986 0.547 0.105
O25 0.987 0.047 0.779
O26 0.987 0.325 0.894
O27 0.987 0.675 0.394
O28 0.987 0.953 0.279
O29 0.988 0.250 0.194
O30 0.988 0.750 0.694



Entry 2:
# Sr3Ta2ZnO9
Simulated XRD peak list, Cu Kα X-rays. Input: a cell relaxed with PBE.
Intensities are scaled so that the largest is 100.

Most intense lines, 10° ≤ 2θ ≤ 90°, low angle first:
two_theta	I (rel.)
21.9	37
31.1	100
31.2	98
44.6	61
55.1	21
55.5	40
55.6	20
64.7	19
65.2	19
73.6	18

Atomic structure:
a = 5.725 Å, b = 5.725 Å, c = 7.074 Å
α = 90.00°, β = 90.00°, γ = 120.00°
Element x y z (fractional)
Sr1 0.000 0.000 0.000
Sr2 0.333 0.667 0.662
Sr3 0.667 0.333 0.338
Ta1 0.333 0.667 0.177
Ta2 0.667 0.333 0.823
Zn1 0.000 0.000 0.500
O1 0.000 0.500 0.000
O2 0.170 0.339 0.323
O3 0.170 0.830 0.323
O4 0.339 0.170 0.677
O5 0.500 0.000 0.000
O6 0.500 0.500 0.000
O7 0.661 0.830 0.323
O8 0.830 0.170 0.677
O9 0.830 0.661 0.677



Entry 3:
# SrTcO3
Simulated XRD peak list, Cu Kα X-rays. Input: a cell relaxed with PBE.
Intensities are scaled so that the largest is 100.

Most intense lines, 10° ≤ 2θ ≤ 90°, low angle first:
two_theta	I (rel.)
22.4	5
31.8	100
31.9	20
45.6	40
56.7	32
56.8	16
66.5	19
66.7	4
75.6	10
75.7	7

Atomic structure:
a = 5.624 Å, b = 5.624 Å, c = 5.624 Å
α = 120.17°, β = 89.92°, γ = 119.93°
Element x y z (fractional)
Sr1 0.250 0.000 0.250
Sr2 0.750 0.000 0.750
Tc1 0.000 0.500 0.500
Tc2 0.500 0.500 0.000
O1 0.233 0.000 0.733
O2 0.233 0.500 0.233
O3 0.285 0.535 0.750
O4 0.715 0.465 0.250
O5 0.767 0.000 0.267
O6 0.767 0.500 0.767



Entry 4:
# Sr2TcO4
Simulated XRD peak list, Cu Kα X-rays. Input: a cell relaxed with PBE.
Intensities are scaled so that the largest is 100.

Most intense lines, 10° ≤ 2θ ≤ 90°, low angle first:
two_theta	I (rel.)
13.5	15
30.8	100
32.6	61
41.4	19
41.6	11
46.7	32
53.6	22
57.0	36
64.2	18
68.2	10

Atomic structure:
a = 7.096 Å, b = 7.096 Å, c = 7.096 Å
α = 148.18°, β = 148.18°, γ = 45.62°
Element x y z (fractional)
Sr1 0.149 0.149 0.000
Sr2 0.851 0.851 0.000
Tc1 0.500 0.500 0.000
O1 0.000 0.500 0.500
O2 0.336 0.336 0.000
O3 0.500 0.000 0.500
O4 0.664 0.664 0.000



Entry 5:
# SrTcO3
Simulated XRD peak list, Cu Kα X-rays. Input: a cell relaxed with PBE.
Intensities are scaled so that the largest is 100.

Most intense lines, 10° ≤ 2θ ≤ 90°, low angle first:
two_theta	I (rel.)
22.3	4
31.8	100
39.2	2
45.6	34
51.3	1
56.6	39
66.4	20
75.5	17
84.2	7

Atomic structure:
a = 3.982 Å, b = 3.982 Å, c = 3.982 Å
α = 90.00°, β = 90.00°, γ = 90.00°
Element x y z (fractional)
Sr1 0.000 0.000 0.000
Tc1 0.500 0.500 0.500
O1 0.000 0.500 0.500
O2 0.500 0.000 0.500
O3 0.500 0.500 0.000



Entry 6:
# SrTcO3
Simulated XRD peak list, Cu Kα X-rays. Input: a cell relaxed with PBE.
Intensities are scaled so that the largest is 100.

Most intense lines, 10° ≤ 2θ ≤ 90°, low angle first:
two_theta	I (rel.)
31.6	20
31.8	100
45.5	26
45.6	13
56.4	17
56.6	8
56.7	24
66.4	15
75.4	7
75.6	10

Atomic structure:
a = 5.622 Å, b = 7.956 Å, c = 5.657 Å
α = 90.00°, β = 90.00°, γ = 90.00°
Element x y z (fractional)
Sr1 0.004 0.250 0.002
Sr2 0.496 0.750 0.502
Sr3 0.504 0.250 0.498
Sr4 0.996 0.750 0.998
Tc1 0.000 0.000 0.500
Tc2 0.000 0.500 0.500
Tc3 0.500 0.000 0.000
Tc4 0.500 0.500 0.000
O1 0.002 0.750 0.453
O2 0.241 0.525 0.760
O3 0.241 0.975 0.760
O4 0.259 0.025 0.260
O5 0.259 0.475 0.260
O6 0.498 0.250 0.953
O7 0.502 0.750 0.047
O8 0.741 0.525 0.740
O9 0.741 0.975 0.740
O10 0.759 0.025 0.240
O11 0.759 0.475 0.240
O12 0.998 0.250 0.547